Structure and simulated XRD peak list of Rb4Pa3MoO12 (a cell relaxed with PBE+U; λ = 1.5418 Å (Cu Kα)).
No peak broadening, texture or thermal motion is included.

```
Rb4Pa3MoO12
1.0
-4.3256 4.3256 4.3256
4.3256 -4.3256 4.3256
4.3256 4.3256 -4.3256
Rb Pa Mo O
4 3 1 12
direct
0.0000 0.0000 0.5000
0.0000 0.5000 0.0000
0.5000 0.0000 0.0000
0.5000 0.5000 0.5000
0.0000 0.5000 0.5000
0.5000 0.0000 0.5000
0.5000 0.5000 0.0000
0.0000 0.0000 0.0000
0.0000 0.2381 0.2381
0.0000 0.7619 0.7619
0.2381 0.0000 0.2381
0.2381 0.2381 0.0000
0.2500 0.5000 0.7500
0.2500 0.7500 0.5000
0.5000 0.2500 0.7500
0.5000 0.7500 0.2500
0.7500 0.2500 0.5000
0.7500 0.5000 0.2500
0.7619 0.0000 0.7619
0.7619 0.7619 0.0000
```

Main lines, by angle (2θ from 10° to 80°):
| 2θ (°) | intensity |
| --- | --- |
| 20.5 | 260 |
| 29.2 | 1000 |
| 41.8 | 295 |
| 51.8 | 418 |
| 60.5 | 189 |
| 68.6 | 186 |